NbTe4W: calculated X-ray powder pattern (copper Kα), based on the GGA-PBE geometry in Alexandria.

Crystal structure
abc: 8.066 8.066 6.569
angles: 102.52 102.52 24.18
Fractional coordinates of all 6 atoms:
Nb (0.000, 0.000, 0.000)
Te (0.093, 0.093, 0.441)
Te (0.393, 0.393, 0.201)
Te (0.635, 0.635, 0.951)
Te (0.856, 0.856, 0.665)
W (0.489, 0.489, 0.632)

Peak list (10 most intense, 10 to 90 degrees two-theta, in order of falling intensity)
d 7.691, 2θ = 11.51°, I 1000
d 2.707, 2θ = 33.09°, I 875
d 2.748, 2θ = 32.58°, I 393
d 2.041, 2θ = 44.39°, I 321
d 2.262, 2θ = 39.85°, I 260
d 1.833, 2θ = 49.74°, I 176
d 1.690, 2θ = 54.30°, I 171
d 3.221, 2θ = 27.69°, I 143
d 1.282, 2θ = 73.96°, I 115
d 1.294, 2θ = 73.16°, I 113

Na2AgSnSe4: calculated X-ray powder pattern (copper Kα), based on the GGA-PBE geometry in Alexandria.

Crystal structure
abc: 6.392 6.392 6.392
angles: 107.24 107.24 114.04
Fractional coordinates of all 8 atoms:
Na (0.000, 0.500, 0.500)
Na (0.500, 0.000, 0.500)
Ag (0.000, 0.000, 0.000)
Sn (0.500, 0.500, 0.000)
Se (0.083, 0.083, 0.624)
Se (0.460, 0.460, 0.376)
Se (0.540, 0.917, 0.000)
Se (0.917, 0.540, 0.000)

Peak list (10 most intense, 10 to 90 degrees two-theta, in order of falling intensity)
d 2.564, 2θ = 35.00°, I 1000
d 5.362, 2θ = 16.53°, I 663
d 3.048, 2θ = 29.30°, I 538
d 2.681, 2θ = 33.42°, I 446
d 1.974, 2θ = 45.97°, I 317
d 1.778, 2θ = 51.39°, I 222
d 1.218, 2θ = 78.52°, I 166
d 2.919, 2θ = 30.63°, I 142
d 1.787, 2θ = 51.11°, I 138
d 1.134, 2θ = 85.70°, I 134

Ta7Ti2Mo2: calculated X-ray powder pattern (copper Kα), based on the GGA-PBE geometry in Alexandria.

Crystal structure
abc: 5.335 5.335 7.858
angles: 91.34 91.34 115.75
Fractional coordinates of all 11 atoms:
Ta (0.000, 0.000, 0.000)
Ta (0.133, 0.583, 0.839)
Ta (0.324, 0.324, 0.327)
Ta (0.417, 0.867, 0.161)
Ta (0.583, 0.133, 0.839)
Ta (0.676, 0.676, 0.673)
Ta (0.867, 0.417, 0.161)
Ti (0.235, 0.765, 0.500)
Ti (0.765, 0.235, 0.500)
Mo (0.170, 0.170, 0.665)
Mo (0.830, 0.830, 0.335)

Peak list (10 most intense, 10 to 90 degrees two-theta, in order of falling intensity)
d 2.264, 2θ = 39.81°, I 1000
d 2.272, 2θ = 39.66°, I 938
d 2.347, 2θ = 38.35°, I 558
d 2.259, 2θ = 39.91°, I 422
d 3.919, 2θ = 22.69°, I 334
d 1.628, 2θ = 56.54°, I 297
d 2.535, 2θ = 35.41°, I 284
d 1.306, 2θ = 72.36°, I 273
d 2.985, 2θ = 29.93°, I 191
d 1.342, 2θ = 70.11°, I 190

Er2MnAl3: calculated X-ray powder pattern (copper Kα), based on the GGA-PBE geometry in Alexandria.

Crystal structure
abc: 5.421 5.421 5.421
angles: 61.39 61.39 61.39
Fractional coordinates of all 6 atoms:
Er (0.126, 0.126, 0.126)
Er (0.874, 0.874, 0.874)
Mn (0.500, 0.500, 0.500)
Al (0.000, 0.500, 0.500)
Al (0.500, 0.000, 0.500)
Al (0.500, 0.500, 0.000)

Peak list (10 most intense, 10 to 90 degrees two-theta, in order of falling intensity)
d 2.340, 2θ = 38.48°, I 1000
d 2.768, 2θ = 32.35°, I 996
d 2.709, 2θ = 33.06°, I 657
d 4.503, 2θ = 19.71°, I 549
d 2.304, 2θ = 39.09°, I 433
d 4.379, 2θ = 20.28°, I 366
d 2.358, 2θ = 38.17°, I 325
d 1.586, 2θ = 58.15°, I 270
d 1.501, 2θ = 61.81°, I 245
d 1.492, 2θ = 62.24°, I 217

SiGeTe4: calculated X-ray powder pattern (copper Kα), based on the GGA-PBE geometry in Alexandria.

Crystal structure
abc: 7.780 7.780 7.780
angles: 106.72 106.72 115.12
Fractional coordinates of all 12 atoms:
Si (0.000, 0.000, 0.000)
Si (0.750, 0.250, 0.500)
Ge (0.251, 0.751, 0.500)
Ge (0.501, 0.501, 0.000)
Te (0.037, 0.239, 0.798)
Te (0.441, 0.239, 0.202)
Te (0.513, 0.209, 0.696)
Te (0.513, 0.817, 0.304)
Te (0.567, 0.763, 0.804)
Te (0.959, 0.763, 0.196)
Te (0.989, 0.287, 0.298)
Te (0.989, 0.691, 0.702)

Peak list (10 most intense, 10 to 90 degrees two-theta, in order of falling intensity)
d 3.104, 2θ = 28.76°, I 1000
d 2.936, 2θ = 30.44°, I 351
d 1.938, 2θ = 46.87°, I 339
d 2.402, 2θ = 37.45°, I 262
d 3.283, 2θ = 27.16°, I 253
d 2.321, 2θ = 38.79°, I 203
d 4.643, 2θ = 19.12°, I 171
d 1.859, 2θ = 49.00°, I 164
d 1.593, 2θ = 57.91°, I 142
d 2.087, 2θ = 43.36°, I 139

Ca3Cd6Sn5: calculated X-ray powder pattern (copper Kα), based on the GGA-PBE geometry in Alexandria.

Crystal structure
abc: 4.648 13.805 11.602
angles: 90.00 90.00 90.00
Fractional coordinates of all 28 atoms:
Ca (0.250, 0.062, 0.248)
Ca (0.250, 0.438, 0.248)
Ca (0.250, 0.750, 0.245)
Ca (0.750, 0.250, 0.755)
Ca (0.750, 0.562, 0.752)
Ca (0.750, 0.938, 0.752)
Cd (0.250, 0.094, 0.623)
Cd (0.250, 0.250, 0.046)
Cd (0.250, 0.250, 0.435)
Cd (0.250, 0.406, 0.623)
Cd (0.250, 0.601, 0.975)
Cd (0.250, 0.899, 0.975)
Cd (0.750, 0.101, 0.025)
Cd (0.750, 0.399, 0.025)
Cd (0.750, 0.594, 0.377)
Cd (0.750, 0.750, 0.565)
Cd (0.750, 0.750, 0.954)
Cd (0.750, 0.906, 0.377)
Sn (0.250, 0.094, 0.867)
Sn (0.250, 0.406, 0.867)
Sn (0.250, 0.607, 0.529)
Sn (0.250, 0.750, 0.772)
Sn (0.250, 0.893, 0.529)
Sn (0.750, 0.107, 0.471)
Sn (0.750, 0.250, 0.228)
Sn (0.750, 0.393, 0.471)
Sn (0.750, 0.594, 0.133)
Sn (0.750, 0.906, 0.133)

Peak list (10 most intense, 10 to 90 degrees two-theta, in order of falling intensity)
d 2.849, 2θ = 31.40°, I 1000
d 2.324, 2θ = 38.75°, I 415
d 2.252, 2θ = 40.03°, I 343
d 2.730, 2θ = 32.80°, I 320
d 2.301, 2θ = 39.15°, I 289
d 2.422, 2θ = 37.11°, I 279
d 2.170, 2θ = 41.62°, I 247
d 5.801, 2θ = 15.27°, I 244
d 4.278, 2θ = 20.77°, I 218
d 4.314, 2θ = 20.59°, I 216

Ac4Sn5Hg2: calculated X-ray powder pattern (copper Kα), based on the GGA-PBE geometry in Alexandria.

Crystal structure
abc: 8.289 4.024 10.576
angles: 90.00 93.78 90.00
Fractional coordinates of all 11 atoms:
Ac (0.190, 0.000, 0.384)
Ac (0.267, 0.000, 0.929)
Ac (0.733, 0.000, 0.071)
Ac (0.810, 0.000, 0.616)
Sn (0.181, 0.500, 0.658)
Sn (0.440, 0.500, 0.198)
Sn (0.500, 0.500, 0.500)
Sn (0.560, 0.500, 0.802)
Sn (0.819, 0.500, 0.342)
Hg (0.068, 0.500, 0.136)
Hg (0.932, 0.500, 0.864)

Peak list (10 most intense, 10 to 90 degrees two-theta, in order of falling intensity)
d 2.945, 2θ = 30.35°, I 1000
d 3.025, 2θ = 29.53°, I 995
d 2.884, 2θ = 31.01°, I 894
d 2.563, 2θ = 35.01°, I 602
d 2.596, 2θ = 34.55°, I 563
d 2.711, 2θ = 33.04°, I 493
d 2.012, 2θ = 45.06°, I 454
d 1.591, 2θ = 57.97°, I 441
d 2.581, 2θ = 34.76°, I 414
d 2.752, 2θ = 32.53°, I 372

NaPu2AuO8: calculated X-ray powder pattern (copper Kα), based on the GGA-PBE geometry in Alexandria.

Crystal structure
abc: 5.971 5.971 6.164
angles: 90.00 90.00 120.00
Fractional coordinates of all 12 atoms:
Na (0.000, 0.000, 0.000)
Pu (0.333, 0.667, 0.427)
Pu (0.667, 0.333, 0.573)
Au (0.000, 0.000, 0.500)
O (0.063, 0.379, 0.646)
O (0.315, 0.937, 0.646)
O (0.333, 0.667, 0.127)
O (0.379, 0.315, 0.354)
O (0.621, 0.685, 0.646)
O (0.667, 0.333, 0.873)
O (0.685, 0.063, 0.354)
O (0.937, 0.621, 0.354)

Peak list (10 most intense, 10 to 90 degrees two-theta, in order of falling intensity)
d 6.164, 2θ = 14.37°, I 1000
d 2.985, 2θ = 29.93°, I 625
d 2.687, 2θ = 33.35°, I 608
d 2.144, 2θ = 42.14°, I 294
d 3.961, 2θ = 22.44°, I 191
d 1.660, 2θ = 55.34°, I 185
d 1.724, 2θ = 53.14°, I 168
d 2.647, 2θ = 33.86°, I 160
d 1.909, 2θ = 47.63°, I 141
d 1.416, 2θ = 65.97°, I 112

PmSc3Se4: calculated X-ray powder pattern (copper Kα), based on the GGA-PBE geometry in Alexandria.

Crystal structure
abc: 3.915 3.915 26.430
angles: 90.00 90.00 120.00
Fractional coordinates of all 16 atoms:
Pm (0.333, 0.667, 0.250)
Pm (0.667, 0.333, 0.750)
Sc (0.000, 0.000, 0.000)
Sc (0.000, 0.000, 0.500)
Sc (0.333, 0.667, 0.619)
Sc (0.333, 0.667, 0.881)
Sc (0.667, 0.333, 0.119)
Sc (0.667, 0.333, 0.381)
Se (0.000, 0.000, 0.177)
Se (0.000, 0.000, 0.323)
Se (0.000, 0.000, 0.677)
Se (0.000, 0.000, 0.823)
Se (0.333, 0.667, 0.059)
Se (0.333, 0.667, 0.441)
Se (0.667, 0.333, 0.559)
Se (0.667, 0.333, 0.941)

Peak list (10 most intense, 10 to 90 degrees two-theta, in order of falling intensity)
d 2.854, 2θ = 31.34°, I 1000
d 1.958, 2θ = 46.36°, I 999
d 2.687, 2θ = 33.35°, I 982
d 3.363, 2θ = 26.51°, I 258
d 1.130, 2θ = 86.00°, I 222
d 1.262, 2θ = 75.28°, I 204
d 1.231, 2θ = 77.58°, I 190
d 1.582, 2θ = 58.32°, I 189
d 1.614, 2θ = 57.05°, I 176
d 2.084, 2θ = 43.41°, I 154

Ta8Nb3Ir: calculated X-ray powder pattern (copper Kα), based on the GGA-PBE geometry in Alexandria.

Crystal structure
abc: 5.482 5.482 8.586
angles: 90.00 90.00 120.00
Fractional coordinates of all 12 atoms:
Ta (0.170, 0.340, 0.247)
Ta (0.170, 0.830, 0.247)
Ta (0.333, 0.667, 0.942)
Ta (0.340, 0.170, 0.753)
Ta (0.660, 0.830, 0.247)
Ta (0.667, 0.333, 0.058)
Ta (0.830, 0.170, 0.753)
Ta (0.830, 0.660, 0.753)
Nb (0.000, 0.000, 0.500)
Nb (0.333, 0.667, 0.561)
Nb (0.667, 0.333, 0.439)
Ir (0.000, 0.000, 0.000)

Peak list (10 most intense, 10 to 90 degrees two-theta, in order of falling intensity)
d 2.288, 2θ = 39.38°, I 1000
d 2.310, 2θ = 38.98°, I 928
d 2.451, 2θ = 36.66°, I 569
d 1.391, 2θ = 67.29°, I 328
d 1.371, 2θ = 68.46°, I 311
d 2.077, 2θ = 43.57°, I 248
d 1.485, 2θ = 62.55°, I 234
d 1.520, 2θ = 60.94°, I 230
d 2.147, 2θ = 42.10°, I 225
d 8.586, 2θ = 10.30°, I 218

Ho4MgHg3: calculated X-ray powder pattern (copper Kα), based on the GGA-PBE geometry in Alexandria.

Crystal structure
abc: 3.740 3.740 14.704
angles: 90.00 90.00 90.00
Fractional coordinates of all 8 atoms:
Ho (0.000, 0.000, 0.124)
Ho (0.000, 0.000, 0.372)
Ho (0.000, 0.000, 0.628)
Ho (0.000, 0.000, 0.876)
Mg (0.500, 0.500, 0.500)
Hg (0.500, 0.500, 0.000)
Hg (0.500, 0.500, 0.253)
Hg (0.500, 0.500, 0.747)

Peak list (10 most intense, 10 to 90 degrees two-theta, in order of falling intensity)
d 2.622, 2θ = 34.20°, I 1000
d 2.645, 2θ = 33.90°, I 514
d 1.522, 2θ = 60.85°, I 386
d 1.870, 2θ = 48.69°, I 188
d 1.509, 2θ = 61.43°, I 185
d 1.311, 2θ = 72.05°, I 116
d 1.838, 2θ = 49.60°, I 88
d 1.183, 2θ = 81.36°, I 86
d 1.181, 2θ = 81.53°, I 86
d 1.164, 2θ = 82.91°, I 81

La2Pm3Nd2: calculated X-ray powder pattern (copper Kα), based on the GGA-PBE geometry in Alexandria.

Crystal structure
abc: 8.832 8.832 9.017
angles: 115.91 115.91 23.26
Fractional coordinates of all 7 atoms:
La (0.078, 0.078, 0.204)
La (0.922, 0.922, 0.796)
Pm (0.000, 0.000, 0.500)
Pm (0.222, 0.222, 0.647)
Pm (0.778, 0.778, 0.353)
Nd (0.360, 0.360, 0.094)
Nd (0.640, 0.640, 0.906)

Peak list (10 most intense, 10 to 90 degrees two-theta, in order of falling intensity)
d 3.008, 2θ = 29.70°, I 1000
d 2.987, 2θ = 29.91°, I 472
d 2.818, 2θ = 31.75°, I 405
d 2.510, 2θ = 35.78°, I 299
d 1.529, 2θ = 60.57°, I 185
d 1.504, 2θ = 61.65°, I 178
d 1.663, 2θ = 55.23°, I 153
d 1.770, 2θ = 51.66°, I 142
d 2.771, 2θ = 32.30°, I 141
d 1.532, 2θ = 60.44°, I 134

CsNiW2Se8: calculated X-ray powder pattern (copper Kα), based on the GGA-PBE geometry in Alexandria.

Crystal structure
abc: 10.805 10.805 10.805
angles: 34.58 34.58 34.58
Fractional coordinates of all 12 atoms:
Cs (0.000, 0.000, 0.000)
Ni (0.500, 0.500, 0.500)
W (0.239, 0.239, 0.239)
W (0.761, 0.761, 0.761)
Se (0.142, 0.768, 0.444)
Se (0.232, 0.556, 0.858)
Se (0.315, 0.315, 0.315)
Se (0.444, 0.142, 0.768)
Se (0.556, 0.858, 0.232)
Se (0.685, 0.685, 0.685)
Se (0.768, 0.444, 0.142)
Se (0.858, 0.232, 0.556)

Peak list (10 most intense, 10 to 90 degrees two-theta, in order of falling intensity)
d 4.490, 2θ = 19.77°, I 1000
d 3.061, 2θ = 29.17°, I 494
d 1.854, 2θ = 49.15°, I 428
d 1.991, 2θ = 45.57°, I 384
d 3.383, 2θ = 26.35°, I 375
d 3.211, 2θ = 27.78°, I 352
d 2.713, 2θ = 33.01°, I 307
d 5.224, 2θ = 16.97°, I 269
d 1.626, 2θ = 56.62°, I 249
d 2.612, 2θ = 34.33°, I 249